No. 1
Structure and theoretical XRD peak list of Sr2Mg5Pb4 (a crystal structure in Alexandria, relaxed with PBE; Cu Kα (weighted mean of Kα1 and Kα2)).
Peak positions follow from Bragg's law for the DFT cell and can differ from measured ones.

Structure:
```
data_Sr2Mg5Pb4
_chemical_formula_sum 'Sr2 Mg5 Pb4'
_cell_length_a 10.5825
_cell_length_b 9.2602
_cell_length_c 6.8789
_cell_angle_alpha 80.47
_cell_angle_beta 59.65
_cell_angle_gamma 39.87
_space_group_name_H-M_alt 'P 1'
_space_group_IT_number 1
loop_
_space_group_symop_operation_xyz
'x,y,z'
loop_
_atom_site_label
_atom_site_type_symbol
_atom_site_fract_x
_atom_site_fract_y
_atom_site_fract_z
Sr1 Sr 0.1466 0.1466 0.8534
Sr2 Sr 0.8534 0.8534 0.1466
Mg1 Mg 0.0000 0.0000 0.5000
Mg2 Mg 0.2500 0.2500 0.2500
Mg3 Mg 0.5000 0.5000 0.0000
Mg4 Mg 0.5000 0.5000 0.5000
Mg5 Mg 0.7500 0.7500 0.7500
Pb1 Pb 0.2269 0.5030 0.4970
Pb2 Pb 0.4970 0.7731 0.2269
Pb3 Pb 0.5030 0.2269 0.7731
Pb4 Pb 0.7731 0.4970 0.5030
```

Main lines, by angle (2θ from 10° to 80°):
Position (°2θ)	I (rel.)
16.31	513
20.48	705
21.85	219
26.47	697
27.47	450
30.28	1000
34.51	624
36.15	280
42.76	176
45.13	376
50.36	247
65.13	210

No. 2
Structure and theoretical XRD peak list of Li5Ag4 (a crystal structure in Alexandria, relaxed with PBE; Cu Kα (weighted mean of Kα1 and Kα2)).
Peak positions follow from Bragg's law for the DFT cell and can differ from measured ones.

Structure:
```
data_Li5Ag4
_chemical_formula_sum 'Li5 Ag4'
_cell_length_a 4.4425
_cell_length_b 4.4425
_cell_length_c 10.0114
_cell_angle_alpha 102.69
_cell_angle_beta 102.69
_cell_angle_gamma 59.94
_space_group_name_H-M_alt 'P 1'
_space_group_IT_number 1
loop_
_space_group_symop_operation_xyz
'x,y,z'
loop_
_atom_site_label
_atom_site_type_symbol
_atom_site_fract_x
_atom_site_fract_y
_atom_site_fract_z
Li1 Li 0.0000 0.0000 0.0000
Li2 Li 0.1452 0.1452 0.4359
Li3 Li 0.2607 0.2607 0.7818
Li4 Li 0.7393 0.7393 0.2182
Li5 Li 0.8548 0.8548 0.5641
Ag1 Ag 0.3581 0.3581 0.0750
Ag2 Ag 0.4529 0.4529 0.3589
Ag3 Ag 0.5471 0.5471 0.6411
Ag4 Ag 0.6419 0.6419 0.9250
```

Main lines, by angle (2θ from 10° to 80°):
Position (°2θ)	I (rel.)
23.33	1000
23.93	137
26.22	81
27.63	97
38.85	399
40.63	431
41.47	343
47.38	144
57.52	80
59.46	112
64.14	110
72.71	77

No. 3
Structure and theoretical XRD peak list of InHgI (a crystal structure in Alexandria, relaxed with PBE; Cu Kα (weighted mean of Kα1 and Kα2)).
Peak positions follow from Bragg's law for the DFT cell and can differ from measured ones.

Structure:
```
data_InHgI
_chemical_formula_sum 'In2 Hg2 I2'
_cell_length_a 6.4664
_cell_length_b 6.4664
_cell_length_c 8.5840
_cell_angle_alpha 101.22
_cell_angle_beta 101.22
_cell_angle_gamma 43.74
_space_group_name_H-M_alt 'P 1'
_space_group_IT_number 1
loop_
_space_group_symop_operation_xyz
'x,y,z'
loop_
_atom_site_label
_atom_site_type_symbol
_atom_site_fract_x
_atom_site_fract_y
_atom_site_fract_z
In1 In 0.1930 0.1930 0.2087
In2 In 0.8070 0.8070 0.7913
Hg1 Hg 0.3824 0.3824 0.5614
Hg2 Hg 0.6176 0.6176 0.4386
I1 I 0.1201 0.1201 0.8196
I2 I 0.8799 0.8799 0.1804
```

Main lines, by angle (2θ from 10° to 80°):
Position (°2θ)	I (rel.)
10.54	358
21.82	405
23.33	641
28.63	310
29.61	1000
30.42	845
31.99	236
33.47	369
36.54	231
37.33	380
39.36	207
47.69	229

No. 4
Structure and theoretical XRD peak list of KPtBr (a crystal structure in Alexandria, relaxed with PBE; Cu Kα (weighted mean of Kα1 and Kα2)).
Peak positions follow from Bragg's law for the DFT cell and can differ from measured ones.

Structure:
```
data_KPtBr
_chemical_formula_sum 'K2 Pt2 Br2'
_cell_length_a 3.8136
_cell_length_b 5.5204
_cell_length_c 9.2481
_cell_angle_alpha 106.96
_cell_angle_beta 90.31
_cell_angle_gamma 90.00
_space_group_name_H-M_alt 'P 1'
_space_group_IT_number 1
loop_
_space_group_symop_operation_xyz
'x,y,z'
loop_
_atom_site_label
_atom_site_type_symbol
_atom_site_fract_x
_atom_site_fract_y
_atom_site_fract_z
K1 K 0.0000 0.0000 0.0000
K2 K 0.0060 0.2163 0.4475
Pt1 Pt 0.0025 0.6054 0.2177
Pt2 Pt 0.4999 0.5098 0.0205
Br1 Br 0.5052 0.7052 0.4247
Br2 Br 0.9972 0.4102 0.8154
```

Main lines, by angle (2θ from 10° to 80°):
Position (°2θ)	I (rel.)
16.82	1000
30.87	110
31.05	112
32.32	116
32.44	318
38.17	160
38.34	317
38.51	228
45.46	79
47.69	88
50.93	120
58.86	92

No. 5
Structure and theoretical XRD peak list of Cu4Si23 (a crystal structure in Alexandria, relaxed with PBE; Cu Kα (weighted mean of Kα1 and Kα2)).
Peak positions follow from Bragg's law for the DFT cell and can differ from measured ones.

Structure:
```
data_Cu4Si23
_chemical_formula_sum 'Cu8 Si46'
_cell_length_a 10.1308
_cell_length_b 10.1308
_cell_length_c 10.1308
_cell_angle_alpha 90.00
_cell_angle_beta 90.00
_cell_angle_gamma 90.00
_space_group_name_H-M_alt 'P 1'
_space_group_IT_number 1
loop_
_space_group_symop_operation_xyz
'x,y,z'
loop_
_atom_site_label
_atom_site_type_symbol
_atom_site_fract_x
_atom_site_fract_y
_atom_site_fract_z
Cu1 Cu 0.0000 0.0000 0.0000
Cu2 Cu 0.0000 0.2500 0.5000
Cu3 Cu 0.0000 0.7500 0.5000
Cu4 Cu 0.2500 0.5000 0.0000
Cu5 Cu 0.5000 0.0000 0.2500
Cu6 Cu 0.5000 0.0000 0.7500
Cu7 Cu 0.5000 0.5000 0.5000
Cu8 Cu 0.7500 0.5000 0.0000
Si1 Si 0.0000 0.3105 0.1159
Si2 Si 0.0000 0.3105 0.8841
Si3 Si 0.0000 0.5000 0.2500
Si4 Si 0.0000 0.5000 0.7500
Si5 Si 0.0000 0.6895 0.1159
Si6 Si 0.0000 0.6895 0.8841
Si7 Si 0.1159 0.0000 0.3105
Si8 Si 0.1159 0.0000 0.6895
Si9 Si 0.1828 0.1828 0.1828
Si10 Si 0.1828 0.1828 0.8172
Si11 Si 0.1828 0.8172 0.1828
Si12 Si 0.1828 0.8172 0.8172
Si13 Si 0.1895 0.5000 0.3841
Si14 Si 0.1895 0.5000 0.6159
Si15 Si 0.2500 0.0000 0.5000
Si16 Si 0.3105 0.1159 0.0000
Si17 Si 0.3105 0.8841 0.0000
Si18 Si 0.3172 0.3172 0.3172
Si19 Si 0.3172 0.3172 0.6828
Si20 Si 0.3172 0.6828 0.3172
Si21 Si 0.3172 0.6828 0.6828
Si22 Si 0.3841 0.1895 0.5000
Si23 Si 0.3841 0.8105 0.5000
Si24 Si 0.5000 0.2500 0.0000
Si25 Si 0.5000 0.3841 0.1895
Si26 Si 0.5000 0.3841 0.8105
Si27 Si 0.5000 0.6159 0.1895
Si28 Si 0.5000 0.6159 0.8105
Si29 Si 0.5000 0.7500 0.0000
Si30 Si 0.6159 0.1895 0.5000
Si31 Si 0.6159 0.8105 0.5000
Si32 Si 0.6828 0.3172 0.3172
Si33 Si 0.6828 0.3172 0.6828
Si34 Si 0.6828 0.6828 0.3172
Si35 Si 0.6828 0.6828 0.6828
Si36 Si 0.6895 0.1159 0.0000
Si37 Si 0.6895 0.8841 0.0000
Si38 Si 0.7500 0.0000 0.5000
Si39 Si 0.8105 0.5000 0.3841
Si40 Si 0.8105 0.5000 0.6159
Si41 Si 0.8172 0.1828 0.1828
Si42 Si 0.8172 0.1828 0.8172
Si43 Si 0.8172 0.8172 0.1828
Si44 Si 0.8172 0.8172 0.8172
Si45 Si 0.8841 0.0000 0.3105
Si46 Si 0.8841 0.0000 0.6895
```

Main lines, by angle (2θ from 10° to 80°):
Position (°2θ)	I (rel.)
30.57	283
31.85	399
33.09	1000
35.44	163
36.57	99
39.79	75
52.68	242
53.51	83
54.33	183
55.95	388
68.00	92
73.62	92

No. 6
Structure and theoretical XRD peak list of Nd2SnPd3 (a crystal structure in Alexandria, relaxed with PBE; Cu Kα (weighted mean of Kα1 and Kα2)).
Peak positions follow from Bragg's law for the DFT cell and can differ from measured ones.

Structure:
```
data_Nd2SnPd3
_chemical_formula_sum 'Nd4 Sn2 Pd6'
_cell_length_a 4.6628
_cell_length_b 4.6628
_cell_length_c 14.6246
_cell_angle_alpha 90.00
_cell_angle_beta 90.00
_cell_angle_gamma 120.00
_space_group_name_H-M_alt 'P 1'
_space_group_IT_number 1
loop_
_space_group_symop_operation_xyz
'x,y,z'
loop_
_atom_site_label
_atom_site_type_symbol
_atom_site_fract_x
_atom_site_fract_y
_atom_site_fract_z
Nd1 Nd 0.0000 0.0000 0.1193
Nd2 Nd 0.0000 0.0000 0.3807
Nd3 Nd 0.0000 0.0000 0.6193
Nd4 Nd 0.0000 0.0000 0.8807
Sn1 Sn 0.3333 0.6667 0.2500
Sn2 Sn 0.6667 0.3333 0.7500
Pd1 Pd 0.3333 0.6667 0.0151
Pd2 Pd 0.3333 0.6667 0.4849
Pd3 Pd 0.3333 0.6667 0.7500
Pd4 Pd 0.6667 0.3333 0.2500
Pd5 Pd 0.6667 0.3333 0.5151
Pd6 Pd 0.6667 0.3333 0.9849
```

Main lines, by angle (2θ from 10° to 80°):
Position (°2θ)	I (rel.)
22.01	23
24.35	31
33.05	1000
37.99	26
38.62	703
46.18	33
49.89	92
51.72	281
61.51	16
64.81	250
66.37	265
69.88	122

No. 7
Structure and theoretical XRD peak list of Ba4LaSe5 (a crystal structure in Alexandria, relaxed with PBE; Cu Kα (weighted mean of Kα1 and Kα2)).
Peak positions follow from Bragg's law for the DFT cell and can differ from measured ones.

Structure:
```
data_Ba4LaSe5
_chemical_formula_sum 'Ba4 La1 Se5'
_cell_length_a 16.7153
_cell_length_b 16.7153
_cell_length_c 16.7153
_cell_angle_alpha 164.07
_cell_angle_beta 164.07
_cell_angle_gamma 22.60
_space_group_name_H-M_alt 'P 1'
_space_group_IT_number 1
loop_
_space_group_symop_operation_xyz
'x,y,z'
loop_
_atom_site_label
_atom_site_type_symbol
_atom_site_fract_x
_atom_site_fract_y
_atom_site_fract_z
Ba1 Ba 0.0983 0.0983 0.0000
Ba2 Ba 0.3011 0.3011 0.0000
Ba3 Ba 0.6989 0.6989 0.0000
Ba4 Ba 0.9017 0.9017 0.0000
La1 La 0.5000 0.5000 0.0000
Se1 Se 0.0000 0.0000 0.0000
Se2 Se 0.1994 0.1994 0.0000
Se3 Se 0.4065 0.4065 0.0000
Se4 Se 0.5935 0.5935 0.0000
Se5 Se 0.8006 0.8006 0.0000
```

Main lines, by angle (2θ from 10° to 80°):
Position (°2θ)	I (rel.)
23.52	119
27.22	1000
38.88	757
45.94	64
48.11	269
56.16	126
61.71	29
63.50	344
70.40	252
75.38	24

No. 8
Structure and theoretical XRD peak list of NaHg2Pb8 (a crystal structure in Alexandria, relaxed with PBE; Cu Kα (weighted mean of Kα1 and Kα2)).
Peak positions follow from Bragg's law for the DFT cell and can differ from measured ones.

Structure:
```
data_NaHg2Pb8
_chemical_formula_sum 'Na1 Hg2 Pb8'
_cell_length_a 9.4667
_cell_length_b 9.4667
_cell_length_c 6.3459
_cell_angle_alpha 109.22
_cell_angle_beta 109.22
_cell_angle_gamma 39.40
_space_group_name_H-M_alt 'P 1'
_space_group_IT_number 1
loop_
_space_group_symop_operation_xyz
'x,y,z'
loop_
_atom_site_label
_atom_site_type_symbol
_atom_site_fract_x
_atom_site_fract_y
_atom_site_fract_z
Na1 Na 0.0000 0.0000 0.0000
Hg1 Hg 0.2613 0.2613 0.6166
Hg2 Hg 0.7387 0.7387 0.3834
Pb1 Pb 0.1543 0.6517 0.5104
Pb2 Pb 0.2095 0.2095 0.0624
Pb3 Pb 0.3483 0.8457 0.4896
Pb4 Pb 0.4113 0.4113 0.0524
Pb5 Pb 0.5887 0.5887 0.9476
Pb6 Pb 0.6517 0.1543 0.5104
Pb7 Pb 0.7905 0.7905 0.9376
Pb8 Pb 0.8457 0.3483 0.4896
```

Main lines, by angle (2θ from 10° to 80°):
Position (°2θ)	I (rel.)
14.88	231
29.25	197
30.03	702
30.19	432
31.85	756
32.16	354
35.40	1000
35.58	414
37.93	214
52.18	199
54.48	231
59.53	238

No. 9
Structure and theoretical XRD peak list of Dy3Ho8Er2 (a crystal structure in Alexandria, relaxed with PBE; Cu Kα (weighted mean of Kα1 and Kα2)).
Peak positions follow from Bragg's law for the DFT cell and can differ from measured ones.

Structure:
```
data_Dy3Ho8Er2
_chemical_formula_sum 'Dy3 Ho8 Er2'
_cell_length_a 10.6862
_cell_length_b 10.6862
_cell_length_c 5.5612
_cell_angle_alpha 90.02
_cell_angle_beta 90.02
_cell_angle_gamma 41.45
_space_group_name_H-M_alt 'P 1'
_space_group_IT_number 1
loop_
_space_group_symop_operation_xyz
'x,y,z'
loop_
_atom_site_label
_atom_site_type_symbol
_atom_site_fract_x
_atom_site_fract_y
_atom_site_fract_z
Dy1 Dy 0.0000 0.0000 0.0000
Dy2 Dy 0.2857 0.7143 0.5000
Dy3 Dy 0.7143 0.2857 0.5000
Ho1 Ho 0.1334 0.1334 0.4999
Ho2 Ho 0.1801 0.6024 0.9998
Ho3 Ho 0.3313 0.3313 0.4995
Ho4 Ho 0.3976 0.8199 0.0002
Ho5 Ho 0.6024 0.1801 0.9998
Ho6 Ho 0.6687 0.6687 0.5005
Ho7 Ho 0.8199 0.3976 0.0002
Ho8 Ho 0.8666 0.8666 0.5001
Er1 Er 0.2413 0.2413 0.9994
Er2 Er 0.7587 0.7587 0.0006
```

Main lines, by angle (2θ from 10° to 80°):
Position (°2θ)	I (rel.)
25.18	207
29.95	312
31.30	319
32.19	408
33.81	1000
35.92	216
41.30	112
49.00	181
58.46	275
59.08	107
62.25	104
65.27	100

No. 10
Structure and theoretical XRD peak list of LaPmNdAl (a crystal structure in Alexandria, relaxed with PBE; Cu Kα (weighted mean of Kα1 and Kα2)).
Peak positions follow from Bragg's law for the DFT cell and can differ from measured ones.

Structure:
```
data_LaPmNdAl
_chemical_formula_sum 'La1 Pm1 Nd1 Al1'
_cell_length_a 6.0982
_cell_length_b 6.0982
_cell_length_c 6.0982
_cell_angle_alpha 133.24
_cell_angle_beta 133.24
_cell_angle_gamma 68.27
_space_group_name_H-M_alt 'P 1'
_space_group_IT_number 1
loop_
_space_group_symop_operation_xyz
'x,y,z'
loop_
_atom_site_label
_atom_site_type_symbol
_atom_site_fract_x
_atom_site_fract_y
_atom_site_fract_z
La1 La 0.0000 0.0000 0.0000
Pm1 Pm 0.2500 0.7500 0.5000
Nd1 Nd 0.7500 0.2500 0.5000
Al1 Al 0.5000 0.5000 0.0000
```

Main lines, by angle (2θ from 10° to 80°):
Position (°2θ)	I (rel.)
17.57	80
20.35	170
26.04	64
31.59	1000
32.41	54
35.57	182
37.16	322
52.38	240
53.56	112
61.40	148
63.52	267
65.96	119

No. 11
Structure and theoretical XRD peak list of Ca4HgBr2 (a crystal structure in Alexandria, relaxed with PBE; Cu Kα (weighted mean of Kα1 and Kα2)).
Peak positions follow from Bragg's law for the DFT cell and can differ from measured ones.

Structure:
```
data_Ca4HgBr2
_chemical_formula_sum 'Ca4 Hg1 Br2'
_cell_length_a 8.6276
_cell_length_b 8.6276
_cell_length_c 8.6276
_cell_angle_alpha 139.35
_cell_angle_beta 139.35
_cell_angle_gamma 58.84
_space_group_name_H-M_alt 'P 1'
_space_group_IT_number 1
loop_
_space_group_symop_operation_xyz
'x,y,z'
loop_
_atom_site_label
_atom_site_type_symbol
_atom_site_fract_x
_atom_site_fract_y
_atom_site_fract_z
Ca1 Ca 0.0000 0.5000 0.5000
Ca2 Ca 0.1988 0.1988 0.0000
Ca3 Ca 0.5000 0.0000 0.5000
Ca4 Ca 0.8012 0.8012 0.0000
Hg1 Hg 0.0000 0.0000 0.0000
Br1 Br 0.3865 0.3865 0.0000
Br2 Br 0.6135 0.6135 0.0000
```

Main lines, by angle (2θ from 10° to 80°):
Position (°2θ)	I (rel.)
11.78	775
15.92	269
20.96	1000
23.14	552
29.82	907
32.16	300
33.35	889
38.08	318
42.67	333
45.33	744
48.00	224
64.01	261

No. 12
Structure and theoretical XRD peak list of Pa2Pt3Pb (a crystal structure in Alexandria, relaxed with PBE; Cu Kα (weighted mean of Kα1 and Kα2)).
Peak positions follow from Bragg's law for the DFT cell and can differ from measured ones.

Structure:
```
data_Pa2Pt3Pb
_chemical_formula_sum 'Pa8 Pt12 Pb4'
_cell_length_a 9.4975
_cell_length_b 9.4975
_cell_length_c 9.4975
_cell_angle_alpha 60.00
_cell_angle_beta 60.00
_cell_angle_gamma 60.00
_space_group_name_H-M_alt 'P 1'
_space_group_IT_number 1
loop_
_space_group_symop_operation_xyz
'x,y,z'
loop_
_atom_site_label
_atom_site_type_symbol
_atom_site_fract_x
_atom_site_fract_y
_atom_site_fract_z
Pa1 Pa 0.2399 0.7534 0.7534
Pa2 Pa 0.2466 0.2466 0.2466
Pa3 Pa 0.2466 0.2466 0.7601
Pa4 Pa 0.2466 0.7601 0.2466
Pa5 Pa 0.7534 0.2399 0.7534
Pa6 Pa 0.7534 0.7534 0.2399
Pa7 Pa 0.7534 0.7534 0.7534
Pa8 Pa 0.7601 0.2466 0.2466
Pt1 Pt 0.1156 0.1156 0.6344
Pt2 Pt 0.1156 0.6344 0.1156
Pt3 Pt 0.1156 0.6344 0.6344
Pt4 Pt 0.3656 0.3656 0.8844
Pt5 Pt 0.3656 0.8844 0.3656
Pt6 Pt 0.3656 0.8844 0.8844
Pt7 Pt 0.6344 0.1156 0.1156
Pt8 Pt 0.6344 0.1156 0.6344
Pt9 Pt 0.6344 0.6344 0.1156
Pt10 Pt 0.8844 0.3656 0.3656
Pt11 Pt 0.8844 0.3656 0.8844
Pt12 Pt 0.8844 0.8844 0.3656
Pb1 Pb 0.0000 0.5000 0.5000
Pb2 Pb 0.5000 0.0000 0.5000
Pb3 Pb 0.5000 0.5000 0.0000
Pb4 Pb 0.5000 0.5000 0.5000
```

Main lines, by angle (2θ from 10° to 80°):
Position (°2θ)	I (rel.)
18.69	139
21.95	52
22.94	97
28.98	75
32.66	76
37.89	1000
42.57	32
44.76	50
50.87	39
54.67	173
56.04	31
68.44	349